Diffraction record for MgMn2O3. The XRD peak list is theoretical, not measured: it uses a crystal structure in the Materials Project, relaxed with PBE+U and CuKα.
Lines closer than 0.1° are merged.

Peak list (10 most intense, 2θ = 5–70°, in order of rising 2θ)
2θ = 11.52°, rel. 14, (0 0 1); 2θ = 23.15°, rel. 4, (0 0 2); 2θ = 33.17°, rel. 3, (1 1 0); 2θ = 35.03°, rel. 12, (0 0 3); 2θ = 35.21°, rel. 27, (1 1 -1); 2θ = 35.37°, rel. 13, (2 0 1); 2θ = 40.87°, rel. 100, (1 1 2); 2θ = 58.97°, rel. 20, (1 1 -4); 2θ = 59.16°, rel. 19, (0 2 0); 2θ = 59.43°, rel. 19, (3 1 0)

```
data_MgMn2O3
_chemical_formula_sum 'Mg2 Mn4 O6'
_space_group_name_H-M_alt 'C 1 2/m 1'
_space_group_IT_number 12
_cell_length_a 5.3805
_cell_length_b 3.1233
_cell_length_c 7.6847
_cell_angle_alpha 90.00
_cell_angle_beta 90.14
_cell_angle_gamma 90.00
loop_
_space_group_symop_operation_xyz
'x,y,z'
'-x,-y,-z'
'-x,y,-z'
'x,-y,z'
'x+1/2,y+1/2,z'
'-x+1/2,-y+1/2,-z'
'-x+1/2,y+1/2,-z'
'x+1/2,-y+1/2,z'
loop_
_atom_site_label
_atom_site_fract_x
_atom_site_fract_y
_atom_site_fract_z
Mg1 0.0000 0.0000 0.0000
Mn1 0.1663 0.5000 0.6713
O1 0.0000 0.0000 0.5000
O2 0.1668 0.5000 0.1547
```